Structure and theoretical X-ray diffraction stick pattern of TaNbZnAu (DFT lattice parameters and positions (GGA-PBE); Cu Kα).
No peak broadening, texture or thermal motion is included.

The 10 most intense peaks (10° ≤ 2θ ≤ 90°), by angle:
2θ/deg, d_spacing, I_rel
20.2, 4.404, 18
32.3, 2.773, 12
38.4, 2.346, 100
41.0, 2.202, 20
41.4, 2.182, 20
50.9, 1.796, 11
59.7, 1.550, 13
72.9, 1.297, 14
73.5, 1.289, 15
82.2, 1.173, 11

Atomic structure:
```
4
Lattice="1.7955 -2.1816 0.0000 1.7955 2.1816 0.0000 0.0000 0.0000 8.8082" Properties=species:S:1:pos:R:3 pbc="T T T"
Ta 0.0000 0.0000 0.0000
Nb 1.7955 0.0000 6.5257
Zn 1.7955 0.0000 2.1388
Au 0.0000 0.0000 4.2429
```